Computed PXRD pattern of ErCoH8C6N6O4 for λ = 1.5418 Å (Cu Kα), from a crystal structure in OQMD, relaxed with GGA+U.
Peak positions follow from Bragg's law for the DFT cell and can differ from measured ones.

Structural model:
Unit cell a=7.1493 b=7.1493 c=13.2800 alpha=90.00 beta=90.00 gamma=119.45
Element x y z (fractional)
Er 0.1744 0.8256 0.7500
Er 0.8256 0.1744 0.2500
Co 0.5000 0.5000 0.0000
Co 0.5000 0.5000 0.5000
H 0.0379 0.6319 0.1897
H 0.0379 0.6319 0.3103
H 0.0829 0.9171 0.0978
H 0.0829 0.9171 0.4022
H 0.1911 0.8089 0.0336
H 0.1911 0.8089 0.4664
H 0.3681 0.9621 0.1897
H 0.3681 0.9621 0.3103
H 0.6319 0.0379 0.6897
H 0.6319 0.0379 0.8103
H 0.8089 0.1911 0.5336
H 0.8089 0.1911 0.9664
H 0.9171 0.0829 0.5978
H 0.9171 0.0829 0.9022
H 0.9621 0.3681 0.6897
H 0.9621 0.3681 0.8103
C 0.2737 0.3592 0.0889
C 0.2737 0.3592 0.4111
C 0.3592 0.2737 0.5889
C 0.3592 0.2737 0.9111
C 0.3631 0.6369 0.5563
C 0.3631 0.6369 0.9437
C 0.6369 0.3631 0.0563
C 0.6369 0.3631 0.4437
C 0.6408 0.7263 0.0889
C 0.6408 0.7263 0.4111
C 0.7263 0.6408 0.5889
C 0.7263 0.6408 0.9111
N 0.1262 0.2681 0.1425
N 0.1262 0.2681 0.3575
N 0.2681 0.1262 0.6425
N 0.2681 0.1262 0.8575
N 0.2762 0.7238 0.5919
N 0.2762 0.7238 0.9081
N 0.7238 0.2762 0.0919
N 0.7238 0.2762 0.4081
N 0.7319 0.8738 0.1425
N 0.7319 0.8738 0.3575
N 0.8738 0.7319 0.6425
N 0.8738 0.7319 0.8575
O 0.0230 0.4607 0.7500
O 0.1621 0.8379 0.1027
O 0.1621 0.8379 0.3973
O 0.4607 0.0230 0.2500
O 0.5393 0.9770 0.7500
O 0.8379 0.1621 0.6027
O 0.8379 0.1621 0.8973
O 0.9770 0.5393 0.2500

Main lines, low angle first (2θ from 10° to 90°):
15.7 deg, rel. 83
15.8 deg, rel. 32
19.6 deg, rel. 100
24.7 deg, rel. 50
24.9 deg, rel. 38
35.2 deg, rel. 29
36.8 deg, rel. 23
37.0 deg, rel. 19
43.4 deg, rel. 16
43.7 deg, rel. 16